# 1
Simulated X-ray diffraction stick pattern
Compound: Li4AlGePd2
Radiation: Cu Kα X-rays
Structure: a crystal structure in OQMD, relaxed with GGA-PBE
Peak positions follow from Bragg's law for the DFT cell and can differ from measured ones.

```
data_Li4AlGePd2
_chemical_formula_sum 'Li4 Al1 Ge1 Pd2'
_cell_length_a 4.2977
_cell_length_b 4.2977
_cell_length_c 6.0357
_cell_angle_alpha 90.00
_cell_angle_beta 90.00
_cell_angle_gamma 90.00
_space_group_name_H-M_alt 'P -4 m 2'
_space_group_IT_number 115
loop_
_space_group_symop_operation_xyz
'x,y,z'
'y,-x,-z'
'-x,-y,z'
'-y,x,-z'
'-x,y,z'
'-y,-x,-z'
'x,-y,z'
'y,x,-z'
loop_
_atom_site_label
_atom_site_fract_x
_atom_site_fract_y
_atom_site_fract_z
_atom_site_occupancy
Li1 0.0000 0.0000 0.0000 1
Li2 0.0000 0.5000 0.2439 1
Li3 0.5000 0.5000 0.5000 1
Al1 0.0000 0.0000 0.5000 1
Ge1 0.5000 0.5000 0.0000 1
Pd1 0.0000 0.5000 0.7493 1
```

Peak list (6 most intense, 2θ = 10–80°, low angle first)
2θ = 25.44°, intensity 100.0, hkl 1 0 1; 2θ = 42.05°, intensity 28.9, hkl 2 0 0; 2θ = 42.20°, intensity 57.2, hkl 1 1 2; 2θ = 49.79°, intensity 31.1, hkl 2 1 1; 2θ = 50.06°, intensity 15.3, hkl 1 0 3; 2θ = 76.94°, intensity 18.8, hkl 3 1 2

# 2
Simulated X-ray diffraction stick pattern
Compound: Li2AlZn2GePt2
Radiation: Cu Kα X-rays
Structure: a crystal structure in OQMD, relaxed with GGA-PBE
Peak positions follow from Bragg's law for the DFT cell and can differ from measured ones.

```
data_Li2AlZn2GePt2
_chemical_formula_sum 'Li2 Al1 Zn2 Ge1 Pt2'
_cell_length_a 4.3197
_cell_length_b 4.3197
_cell_length_c 6.1199
_cell_angle_alpha 90.00
_cell_angle_beta 90.00
_cell_angle_gamma 90.00
_space_group_name_H-M_alt 'P -4 m 2'
_space_group_IT_number 115
loop_
_space_group_symop_operation_xyz
'x,y,z'
'y,-x,-z'
'-x,-y,z'
'-y,x,-z'
'-x,y,z'
'-y,-x,-z'
'x,-y,z'
'y,x,-z'
loop_
_atom_site_label
_atom_site_fract_x
_atom_site_fract_y
_atom_site_fract_z
_atom_site_occupancy
Li1 0.0000 0.5000 0.2472 1
Al1 0.0000 0.0000 0.5000 1
Zn1 0.0000 0.0000 0.0000 1
Zn2 0.5000 0.5000 0.5000 1
Ge1 0.5000 0.5000 0.0000 1
Pt1 0.0000 0.5000 0.7470 1
```

Peak list (6 most intense, 2θ = 10–80°, low angle first)
2θ = 25.24°, intensity 86.2, hkl 1 0 1; 2θ = 41.80°, intensity 100.0, hkl 2 0 0; 2θ = 49.45°, intensity 42.9, hkl 2 1 1; 2θ = 60.63°, intensity 11.0, hkl 2 2 0; 2θ = 66.70°, intensity 17.6, hkl 3 0 1; 2θ = 76.32°, intensity 33.5, hkl 3 1 2

# 3
Simulated X-ray diffraction stick pattern
Compound: AlGeMo6
Radiation: Cu Kα X-rays
Structure: a crystal structure in OQMD, relaxed with GGA-PBE
Peak positions follow from Bragg's law for the DFT cell and can differ from measured ones.

```
data_AlGeMo6
_chemical_formula_sum 'Al1 Ge1 Mo6'
_cell_length_a 4.9694
_cell_length_b 4.9694
_cell_length_c 4.9694
_cell_angle_alpha 90.00
_cell_angle_beta 90.00
_cell_angle_gamma 90.00
_space_group_name_H-M_alt 'P m -3'
_space_group_IT_number 200
_space_group_name_Hall '-P 2 2 3'
loop_
_atom_site_label
_atom_site_fract_x
_atom_site_fract_y
_atom_site_fract_z
_atom_site_occupancy
Al1 0.0000 0.0000 0.0000 1
Ge1 0.5000 0.5000 0.5000 1
Mo1 0.0000 0.5000 0.2499 1
```

Peak list (6 most intense, 2θ = 10–80°, low angle first)
2θ = 36.15°, intensity 19.9, hkl 2 0 0; 2θ = 40.59°, intensity 100.0, hkl 2 1 0; 2θ = 44.67°, intensity 43.1, hkl 2 1 1; 2θ = 65.01°, intensity 11.9, hkl 2 2 2; 2θ = 68.02°, intensity 20.8, hkl 3 0 2; 2θ = 70.97°, intensity 21.1, hkl 3 2 1